No. 1
Structure and simulated XRD peak list of Li9Co7O16 (a cell relaxed with GGA+U; Cu Ka).
No peak broadening, texture or thermal motion is included.

Most intense lines, 2θ = 15–90°, most intense first:
2θ = 18.4°, d = 4.815 Å, I = 100
2θ = 43.8°, d = 2.065 Å, I = 54
2θ = 43.4°, d = 2.083 Å, I = 28
2θ = 36.1°, d = 2.485 Å, I = 28
2θ = 63.2°, d = 1.471 Å, I = 15
2θ = 63.6°, d = 1.462 Å, I = 15
2θ = 35.9°, d = 2.502 Å, I = 14
2θ = 37.7°, d = 2.386 Å, I = 12
2θ = 57.8°, d = 1.595 Å, I = 10
2θ = 80.5°, d = 1.193 Å, I = 10

Crystal structure
Lattice parameters (Å, degrees): 5.8861 5.8861 9.6981 98.70 98.70 59.26
Sites, in units of the cell vectors:
Li (0.0000, 0.0000, 0.0000)
Li (0.0000, 0.5000, 0.0000)
Li (0.1229, 0.1229, 0.7528)
Li (0.2499, 0.7501, 0.5000)
Li (0.3761, 0.3761, 0.2491)
Li (0.5000, 0.0000, 0.0000)
Li (0.6239, 0.6239, 0.7509)
Li (0.7501, 0.2499, 0.5000)
Li (0.8771, 0.8771, 0.2472)
Co (0.1227, 0.6323, 0.7564)
Co (0.2488, 0.2488, 0.4999)
Co (0.3677, 0.8773, 0.2436)
Co (0.5000, 0.5000, 0.0000)
Co (0.6323, 0.1227, 0.7564)
Co (0.7512, 0.7512, 0.5001)
Co (0.8773, 0.3677, 0.2436)
O (0.0537, 0.5551, 0.3787)
O (0.0690, 0.0690, 0.3727)
O (0.1848, 0.1848, 0.1384)
O (0.2220, 0.6778, 0.1192)
O (0.3222, 0.7780, 0.8808)
O (0.3265, 0.3265, 0.8816)
O (0.4274, 0.4274, 0.6306)
O (0.4449, 0.9463, 0.6213)
O (0.5551, 0.0537, 0.3787)
O (0.5726, 0.5726, 0.3694)
O (0.6735, 0.6735, 0.1184)
O (0.6778, 0.2220, 0.1192)
O (0.7780, 0.3222, 0.8808)
O (0.8152, 0.8152, 0.8616)
O (0.9310, 0.9310, 0.6273)
O (0.9463, 0.4449, 0.6213)

No. 2
Structure and simulated XRD peak list of RbV2SeO7 (a cell relaxed with GGA+U; Cu Ka).
No peak broadening, texture or thermal motion is included.

Most intense lines, 2θ = 15–90°, most intense first:
2θ = 31.1°, d = 2.878 Å, I = 100
2θ = 24.8°, d = 3.593 Å, I = 99
2θ = 22.3°, d = 3.981 Å, I = 51
2θ = 26.5°, d = 3.366 Å, I = 43
2θ = 32.3°, d = 2.770 Å, I = 39
2θ = 27.8°, d = 3.214 Å, I = 38
2θ = 45.4°, d = 1.997 Å, I = 32
2θ = 18.8°, d = 4.717 Å, I = 24
2θ = 42.3°, d = 2.139 Å, I = 24
2θ = 31.2°, d = 2.862 Å, I = 22

Crystal structure
Lattice parameters (Å, degrees): 18.8629 5.5395 7.2066 90.00 90.00 90.00
Sites, in units of the cell vectors:
Rb (0.0335, 0.2500, 0.2471)
Rb (0.4665, 0.7500, 0.7471)
Rb (0.5335, 0.2500, 0.2529)
Rb (0.9665, 0.7500, 0.7529)
V (0.1225, 0.2500, 0.7303)
V (0.1875, 0.7500, 0.4416)
V (0.3125, 0.2500, 0.9416)
V (0.3775, 0.7500, 0.2303)
V (0.6225, 0.2500, 0.7697)
V (0.6875, 0.7500, 0.0584)
V (0.8125, 0.2500, 0.5584)
V (0.8775, 0.7500, 0.2697)
Se (0.1529, 0.7500, 0.9835)
Se (0.3471, 0.2500, 0.4835)
Se (0.6529, 0.7500, 0.5165)
Se (0.8471, 0.2500, 0.0165)
O (0.0407, 0.2500, 0.6449)
O (0.0989, 0.5115, 0.9273)
O (0.0989, 0.9885, 0.9273)
O (0.1323, 0.7500, 0.2260)
O (0.1668, 0.0038, 0.5678)
O (0.1668, 0.4962, 0.5678)
O (0.2262, 0.2500, 0.8801)
O (0.2738, 0.7500, 0.3801)
O (0.3332, 0.5038, 0.0678)
O (0.3332, 0.9962, 0.0678)
O (0.3677, 0.2500, 0.7260)
O (0.4011, 0.0115, 0.4273)
O (0.4011, 0.4885, 0.4273)
O (0.4593, 0.7500, 0.1449)
O (0.5407, 0.2500, 0.8551)
O (0.5989, 0.5115, 0.5727)
O (0.5989, 0.9885, 0.5727)
O (0.6323, 0.7500, 0.2740)
O (0.6668, 0.0038, 0.9322)
O (0.6668, 0.4962, 0.9322)
O (0.7262, 0.2500, 0.6199)
O (0.7738, 0.7500, 0.1199)
O (0.8332, 0.5038, 0.4322)
O (0.8332, 0.9962, 0.4322)
O (0.8677, 0.2500, 0.7740)
O (0.9011, 0.0115, 0.0727)
O (0.9011, 0.4885, 0.0727)
O (0.9593, 0.7500, 0.3551)

No. 3
Structure and simulated XRD peak list of Tb2MgMo2Cl2O8 (a cell relaxed with GGA+U; Cu Ka).
No peak broadening, texture or thermal motion is included.

Most intense lines, 2θ = 15–90°, most intense first:
2θ = 27.3°, d = 3.263 Å, I = 100
2θ = 26.2°, d = 3.398 Å, I = 77
2θ = 33.0°, d = 2.713 Å, I = 76
2θ = 15.9°, d = 5.581 Å, I = 72
2θ = 28.2°, d = 3.169 Å, I = 68
2θ = 15.3°, d = 5.805 Å, I = 46
2θ = 47.0°, d = 1.934 Å, I = 31
2θ = 54.7°, d = 1.679 Å, I = 26
2θ = 30.8°, d = 2.903 Å, I = 24
2θ = 50.8°, d = 1.799 Å, I = 22

Crystal structure
Lattice parameters (Å, degrees): 6.7170 6.7170 7.1717 103.40 103.40 60.79
Sites, in units of the cell vectors:
Tb (0.2201, 0.2201, 0.3744)
Tb (0.7799, 0.7799, 0.6256)
Mg (0.7289, 0.2711, 0.5000)
Mo (0.1573, 0.1315, 0.7904)
Mo (0.8685, 0.8427, 0.2096)
Cl (0.4189, 0.4549, 0.7003)
Cl (0.5451, 0.5811, 0.2997)
O (0.0109, 0.6091, 0.3632)
O (0.1855, 0.2051, 0.0490)
O (0.3909, 0.9891, 0.6368)
O (0.6099, 0.0352, 0.3558)
O (0.7949, 0.8145, 0.9510)
O (0.9386, 0.0174, 0.6947)
O (0.9648, 0.3901, 0.6442)
O (0.9826, 0.0614, 0.3053)

No. 4
Structure and simulated XRD peak list of CoRh2O4 (a cell relaxed with GGA+U; Cu Ka).
No peak broadening, texture or thermal motion is included.

Most intense lines, 2θ = 15–90°, most intense first:
2θ = 34.5°, d = 2.602 Å, I = 100
2θ = 60.7°, d = 1.526 Å, I = 45
2θ = 17.8°, d = 4.983 Å, I = 38
2θ = 55.3°, d = 1.661 Å, I = 36
2θ = 41.9°, d = 2.157 Å, I = 29
2θ = 36.1°, d = 2.491 Å, I = 29
2θ = 86.7°, d = 1.124 Å, I = 19
2θ = 29.3°, d = 3.051 Å, I = 14
2θ = 72.7°, d = 1.301 Å, I = 14
2θ = 71.7°, d = 1.316 Å, I = 11

Crystal structure
Lattice parameters (Å, degrees): 6.1023 6.1023 6.1023 60.00 60.00 60.00
Sites, in units of the cell vectors:
Co (0.1250, 0.1250, 0.1250)
Co (0.8750, 0.8750, 0.8750)
Rh (0.0000, 0.5000, 0.5000)
Rh (0.5000, 0.0000, 0.5000)
Rh (0.5000, 0.5000, 0.0000)
Rh (0.5000, 0.5000, 0.5000)
O (0.2598, 0.2598, 0.2598)
O (0.2598, 0.2598, 0.7205)
O (0.2598, 0.7205, 0.2598)
O (0.2795, 0.7402, 0.7402)
O (0.7205, 0.2598, 0.2598)
O (0.7402, 0.2795, 0.7402)
O (0.7402, 0.7402, 0.2795)
O (0.7402, 0.7402, 0.7402)

No. 5
Structure and simulated XRD peak list of FeN3F6 (a cell relaxed with GGA+U; Cu Ka).
No peak broadening, texture or thermal motion is included.

Most intense lines, 2θ = 15–90°, most intense first:
2θ = 23.0°, d = 3.868 Å, I = 100
2θ = 47.0°, d = 1.934 Å, I = 79
2θ = 32.7°, d = 2.735 Å, I = 40
2θ = 68.6°, d = 1.368 Å, I = 38
2θ = 19.9°, d = 4.467 Å, I = 37
2θ = 52.9°, d = 1.730 Å, I = 35
2θ = 38.6°, d = 2.333 Å, I = 31
2θ = 40.4°, d = 2.233 Å, I = 19
2θ = 51.5°, d = 1.775 Å, I = 17
2θ = 73.4°, d = 1.289 Å, I = 14

Crystal structure
Lattice parameters (Å, degrees): 5.4704 5.4704 5.4704 60.00 60.00 60.00
Sites, in units of the cell vectors:
Fe (0.0000, 0.0000, 0.0000)
N (0.2500, 0.2500, 0.2500)
N (0.5000, 0.5000, 0.5000)
N (0.7500, 0.7500, 0.7500)
F (0.2578, 0.2578, 0.7422)
F (0.2578, 0.7422, 0.2578)
F (0.2578, 0.7422, 0.7422)
F (0.7422, 0.2578, 0.2578)
F (0.7422, 0.2578, 0.7422)
F (0.7422, 0.7422, 0.2578)

No. 6
Structure and simulated XRD peak list of LiVPHO5 (a cell relaxed with GGA+U; Cu Ka).
No peak broadening, texture or thermal motion is included.

Most intense lines, 2θ = 15–90°, most intense first:
2θ = 15.5°, d = 5.705 Å, I = 100
2θ = 29.5°, d = 3.027 Å, I = 20
2θ = 35.8°, d = 2.509 Å, I = 18
2θ = 27.1°, d = 3.287 Å, I = 17
2θ = 31.4°, d = 2.851 Å, I = 15
2θ = 30.8°, d = 2.907 Å, I = 15
2θ = 28.6°, d = 3.125 Å, I = 14
2θ = 17.6°, d = 5.041 Å, I = 12
2θ = 29.3°, d = 3.047 Å, I = 10
2θ = 19.1°, d = 4.641 Å, I = 9

Crystal structure
Lattice parameters (Å, degrees): 6.2107 6.5804 10.6774 103.45 100.57 104.45
Sites, in units of the cell vectors:
Li (0.2497, 0.2494, 0.2498)
Li (0.2498, 0.7500, 0.2495)
Li (0.7502, 0.2500, 0.7505)
Li (0.7503, 0.7506, 0.7502)
V (0.2462, 0.8569, 0.6292)
V (0.2543, 0.6430, 0.8702)
V (0.7457, 0.3570, 0.1298)
V (0.7538, 0.1431, 0.3708)
P (0.1285, 0.3072, 0.5770)
P (0.3717, 0.1927, 0.9232)
P (0.6283, 0.8073, 0.0768)
P (0.8715, 0.6928, 0.4230)
H (0.1364, 0.4167, 0.0830)
H (0.3623, 0.0828, 0.4170)
H (0.6377, 0.9172, 0.5830)
H (0.8636, 0.5833, 0.9170)
O (0.0774, 0.4187, 0.1620)
O (0.1039, 0.2842, 0.4254)
O (0.1266, 0.7640, 0.4165)
O (0.2277, 0.3342, 0.8782)
O (0.2483, 0.9488, 0.8338)
O (0.2521, 0.5513, 0.6657)
O (0.2727, 0.1659, 0.6219)
O (0.3728, 0.7357, 0.0826)
O (0.3955, 0.2150, 0.0746)
O (0.4222, 0.0813, 0.3383)
O (0.5778, 0.9187, 0.6617)
O (0.6045, 0.7850, 0.9254)
O (0.6272, 0.2643, 0.9174)
O (0.7273, 0.8341, 0.3781)
O (0.7479, 0.4487, 0.3343)
O (0.7517, 0.0512, 0.1662)
O (0.7723, 0.6658, 0.1218)
O (0.8734, 0.2360, 0.5835)
O (0.8961, 0.7158, 0.5746)
O (0.9226, 0.5813, 0.8380)